1.
TbNd2Sb3: theoretical X-ray powder pattern (a wavelength of 1.5418 Å), based on DFT lattice parameters and positions (GGA-PBE).

Largest 8 diffraction maxima, in order of rising 2θ, 2θ from 10° to 80°:
24.3°, rel. 2.0, (0 1 3); 28.1°, rel. 100.0, (0 2 0); 40.2°, rel. 76.4, (2 0 0); 47.6°, rel. 1.1, (1 1 6); 49.8°, rel. 27.3, (2 2 0); 58.2°, rel. 12.8, (0 4 0); 65.9°, rel. 35.0, (3 0 3); 73.1°, rel. 25.8, (2 4 0)

Cell and atoms:
abc: 4.487 6.342 13.447
angles: 90.00 90.00 90.00
Fractional positions:
Tb 0.000 0.000 0.000
Tb 0.500 0.500 0.500
Nd 0.000 0.000 0.332
Nd 0.000 0.000 0.668
Nd 0.500 0.500 0.168
Nd 0.500 0.500 0.832
Sb 0.000 0.500 0.000
Sb 0.000 0.500 0.338
Sb 0.000 0.500 0.662
Sb 0.500 0.000 0.162
Sb 0.500 0.000 0.500
Sb 0.500 0.000 0.838

---

2.
K2FeP2Se6: theoretical X-ray powder pattern (a wavelength of 1.5418 Å), based on DFT lattice parameters and positions (GGA-PBE).

Largest 12 diffraction maxima, in order of rising 2θ, 2θ from 10° to 80°:
13.5°, rel. 91.9, (0 1 1); 13.6°, rel. 57.6, (0 2 0); 24.4°, rel. 35.3, (0 1 2); 25.5°, rel. 36.8, (1 1 1); 27.2°, rel. 29.8, (0 2 2); 28.2°, rel. 75.5, (1 2 1); 28.5°, rel. 34.8, (2 0 -2); 31.0°, rel. 100.0, (1 4 -1); 33.2°, rel. 37.4, (1 2 -3); 34.0°, rel. 30.9, (2 1 -3); 34.3°, rel. 27.9, (1 4 -2); 57.8°, rel. 27.0, (4 1 -3)

Cell and atoms:
abc: 6.430 13.017 8.928
angles: 90.00 121.74 90.00
Fractional positions:
K 0.145 0.197 0.435
K 0.145 0.303 0.935
K 0.855 0.697 0.065
K 0.855 0.803 0.565
Fe 0.500 0.000 0.000
Fe 0.500 0.500 0.500
P 0.151 0.525 0.636
P 0.151 0.975 0.136
P 0.849 0.025 0.864
P 0.849 0.475 0.364
Se 0.058 0.048 0.734
Se 0.058 0.452 0.234
Se 0.321 0.660 0.590
Se 0.321 0.840 0.090
Se 0.425 0.099 0.229
Se 0.425 0.401 0.729
Se 0.575 0.599 0.271
Se 0.575 0.901 0.771
Se 0.679 0.160 0.910
Se 0.679 0.340 0.410
Se 0.942 0.548 0.766
Se 0.942 0.952 0.266

---

> Which formula does entry 1 have?

TbNd2Sb3

---

> Number 1 is which compound?

TbNd2Sb3